This entry pairs a crystal structure of GdPa with its simulated powder XRD pattern. Radiation: CuKα. Structure: the PBE geometry in OQMD.
Intensities are scaled so that the largest is 100.

Principal peaks in the range 2θ = 15–90°, in order of rising 2θ:
hkl 0 0 2, 30.77 deg, rel. 30; hkl 1 0 0, 31.08 deg, rel. 24; hkl 1 0 1, 34.79 deg, rel. 100; hkl 1 0 2, 44.30 deg, rel. 19; hkl 1 1 0, 55.30 deg, rel. 18; hkl 1 0 3, 57.33 deg, rel. 24; hkl 1 1 2, 64.63 deg, rel. 22; hkl 2 0 1, 67.02 deg, rel. 15; hkl 2 0 3, 83.74 deg, rel. 9; hkl 1 1 4, 89.64 deg, rel. 10

Cell and atoms:
Cell: 3.3222 3.3222 5.8124 Å, 90.00 90.00 120.00°
Positions (direct):
Gd 0.0000 0.0000 0.0000
Pa 0.6667 0.3333 0.5000